Entry 1:
Calculated powder diffraction line list
Compound: Pm3TeAs
Radiation: Cu Kα X-rays
Structure: a DFT-relaxed cell (PBE, Alexandria)
Kinematic intensities with the Lorentz-polarization factor, no thermal factor.

Crystal structure
a = 5.542 Å, b = 5.542 Å, c = 5.542 Å
α = 90.00°, β = 90.00°, γ = 90.00°
Space group Pm-3m (No. 221)
Asymmetric unit:
Pm 0.000 0.000 0.500
Te 0.500 0.500 0.500
As 0.000 0.000 0.000

Most intense lines, 15 to 90 degrees two-theta, by angle:
d = 5.542 Å, rel. 12
d = 3.200 Å, rel. 100
d = 2.771 Å, rel. 89
d = 1.959 Å, rel. 65
d = 1.671 Å, rel. 45
d = 1.600 Å, rel. 23
d = 1.386 Å, rel. 10
d = 1.271 Å, rel. 18
d = 1.239 Å, rel. 29
d = 1.131 Å, rel. 22

Entry 2:
Calculated powder diffraction line list
Compound: La3Al2Pd6
Radiation: Cu Kα X-rays
Structure: a DFT-relaxed cell (PBE, Alexandria)
Kinematic intensities with the Lorentz-polarization factor, no thermal factor.

Crystal structure
a = 9.703 Å, b = 9.703 Å, c = 9.703 Å
α = 90.00°, β = 90.00°, γ = 90.00°
Space group Im-3m (No. 229)
Asymmetric unit:
La 0.000 0.000 0.293
Al 0.250 0.250 0.250
Pd 0.000 0.328 0.328

Most intense lines, 15 to 90 degrees two-theta, by angle:
d = 3.431 Å, rel. 14
d = 3.068 Å, rel. 20
d = 2.593 Å, rel. 28
d = 2.426 Å, rel. 12
d = 2.287 Å, rel. 100
d = 1.617 Å, rel. 13
d = 1.574 Å, rel. 17
d = 1.463 Å, rel. 10
d = 1.320 Å, rel. 25
d = 1.144 Å, rel. 8

Entry 3:
Calculated powder diffraction line list
Compound: Na2H2IrO6
Radiation: Cu Kα X-rays
Structure: a DFT-relaxed cell (PBE, Alexandria)
Kinematic intensities with the Lorentz-polarization factor, no thermal factor.

Crystal structure
a = 4.9879 Å, b = 4.9879 Å, c = 5.2165 Å
α = 90.00°, β = 90.00°, γ = 120.00°
Space group P-3 (No. 147)
Asymmetric unit:
Na 0.3333 0.6667 0.3709
H 0.3333 0.6667 0.8266
Ir 0.0000 0.0000 0.0000
O 0.1192 0.3517 0.7881

Most intense lines, 15 to 90 degrees two-theta, by angle:
d = 5.216 Å, rel. 38
d = 4.320 Å, rel. 64
d = 3.327 Å, rel. 100
d = 2.494 Å, rel. 23
d = 2.250 Å, rel. 19
d = 2.233 Å, rel. 29
d = 1.996 Å, rel. 27
d = 1.803 Å, rel. 19
d = 1.664 Å, rel. 16
d = 1.558 Å, rel. 23

Entry 4:
Calculated powder diffraction line list
Compound: Rb4DyHo3Te8
Radiation: Cu Kα X-rays
Structure: a DFT-relaxed cell (PBE, Alexandria)
Kinematic intensities with the Lorentz-polarization factor, no thermal factor.

Crystal structure
a = 9.0290 Å, b = 9.0290 Å, c = 25.6519 Å
α = 90.00°, β = 90.00°, γ = 120.00°
Space group R-3m (No. 166, hexagonal axes)
Asymmetric unit:
Rb 0.0000 0.0000 0.0000
Rb 0.0000 0.5000 0.0000
Dy 0.0000 0.0000 0.5000
Ho 0.0000 0.5000 0.5000
Te 0.0000 0.0000 0.2328
Te 0.0008 0.5004 0.7671

Most intense lines, 15 to 90 degrees two-theta, by angle:
d = 3.338 Å, rel. 100
d = 2.674 Å, rel. 15
d = 2.479 Å, rel. 33
d = 2.257 Å, rel. 37
d = 2.003 Å, rel. 10
d = 1.870 Å, rel. 19
d = 1.669 Å, rel. 10
d = 1.552 Å, rel. 9
d = 1.440 Å, rel. 16
d = 1.342 Å, rel. 10

Entry 5:
Calculated powder diffraction line list
Compound: Pu5In2Pd4
Radiation: Cu Kα X-rays
Structure: a DFT-relaxed cell (PBE, Alexandria)
Kinematic intensities with the Lorentz-polarization factor, no thermal factor.

Crystal structure
a = 3.146 Å, b = 10.636 Å, c = 14.191 Å
α = 90.00°, β = 90.00°, γ = 90.00°
Space group Immm (No. 71)
Asymmetric unit:
Pu 0.000 0.000 0.000
Pu 0.000 0.242 0.309
In 0.000 0.500 0.110
Pd 0.000 0.195 0.500
Pd 0.000 0.500 0.312

Most intense lines, 15 to 90 degrees two-theta, by angle:
d = 5.318 Å, rel. 16
d = 4.256 Å, rel. 48
d = 2.659 Å, rel. 100
d = 2.619 Å, rel. 31
d = 2.365 Å, rel. 14
d = 2.216 Å, rel. 21
d = 2.107 Å, rel. 33
d = 1.959 Å, rel. 25
d = 1.866 Å, rel. 32
d = 1.652 Å, rel. 22

Entry 6:
Calculated powder diffraction line list
Compound: CsIn2Te2
Radiation: Cu Kα X-rays
Structure: a DFT-relaxed cell (PBE, Alexandria)
Kinematic intensities with the Lorentz-polarization factor, no thermal factor.

Crystal structure
a = 5.867 Å, b = 5.867 Å, c = 10.756 Å
α = 90.00°, β = 90.00°, γ = 90.00°
Space group I4/mmm (No. 139)
Asymmetric unit:
Cs 0.000 0.000 0.000
In 0.000 0.000 0.356
Te 0.000 0.500 0.250

Most intense lines, 15 to 90 degrees two-theta, by angle:
d = 5.378 Å, rel. 18
d = 3.285 Å, rel. 75
d = 3.059 Å, rel. 70
d = 2.934 Å, rel. 100
d = 2.257 Å, rel. 27
d = 2.117 Å, rel. 49
d = 2.074 Å, rel. 37
d = 1.754 Å, rel. 24
d = 1.646 Å, rel. 27
d = 1.289 Å, rel. 23

Entry 7:
Calculated powder diffraction line list
Compound: Ce4Tl2Ir
Radiation: Cu Kα X-rays
Structure: a DFT-relaxed cell (PBE, Alexandria)
Kinematic intensities with the Lorentz-polarization factor, no thermal factor.

Crystal structure
a = 6.610 Å, b = 3.801 Å, c = 8.540 Å
α = 90.00°, β = 100.95°, γ = 90.00°
Space group P2/m (No. 10)
Asymmetric unit:
Ce 0.065 0.000 0.349
Ce 0.292 0.500 0.013
Tl 0.380 0.500 0.641
Ir 0.000 0.000 0.000

Most intense lines, 15 to 90 degrees two-theta, by angle:
d = 3.280 Å, rel. 100
d = 2.849 Å, rel. 22
d = 2.840 Å, rel. 27
d = 2.795 Å, rel. 59
d = 2.469 Å, rel. 49
d = 2.277 Å, rel. 32
d = 2.236 Å, rel. 40
d = 2.033 Å, rel. 18
d = 1.901 Å, rel. 33
d = 1.572 Å, rel. 27

Entry 8:
Calculated powder diffraction line list
Compound: Cd5Bi3O12
Radiation: Cu Kα X-rays
Structure: a DFT-relaxed cell (PBE, Alexandria)
Kinematic intensities with the Lorentz-polarization factor, no thermal factor.

Crystal structure
a = 9.8006 Å, b = 9.8006 Å, c = 3.3933 Å
α = 90.00°, β = 90.00°, γ = 120.00°
Space group P-62m (No. 189)
Asymmetric unit:
Cd 0.0000 0.2868 0.0000
Cd 0.3333 0.6667 0.0000
Bi 0.0000 0.6631 0.5000
O 0.0000 0.5229 0.0000
O 0.0000 0.8107 0.0000
O 0.2005 0.4513 0.5000

Most intense lines, 15 to 90 degrees two-theta, by angle:
d = 4.900 Å, rel. 37
d = 2.829 Å, rel. 77
d = 2.790 Å, rel. 100
d = 2.331 Å, rel. 14
d = 1.986 Å, rel. 43
d = 1.633 Å, rel. 14
d = 1.626 Å, rel. 41
d = 1.455 Å, rel. 21
d = 1.262 Å, rel. 11
d = 1.177 Å, rel. 11